Entry 1:
Structure and theoretical X-ray diffraction stick pattern of LiNdP4O12 (a structure optimized by DFT (PBE); Cu Kα (λ = 1.5418 Å)).
Kinematic intensities with the Lorentz-polarization factor, no thermal factor.

Cell and atoms:
```
data_LiNdP4O12
_space_group_name_H-M_alt 'C 1 2/c 1'
_space_group_IT_number 15
_cell_length_a 16.9568
_cell_length_b 7.1760
_cell_length_c 10.2124
_cell_angle_alpha 90.00
_cell_angle_beta 126.95
_cell_angle_gamma 90.00
loop_
_space_group_symop_operation_xyz
'x,y,z'
'-x,-y,-z'
'-x,y,-z+1/2'
'x,-y,z+1/2'
'x+1/2,y+1/2,z'
'-x+1/2,-y+1/2,-z'
'-x+1/2,y+1/2,-z+1/2'
'x+1/2,-y+1/2,z+1/2'
loop_
_atom_site_label
_atom_site_type_symbol
_atom_site_fract_x
_atom_site_fract_y
_atom_site_fract_z
Li1 Li 0.0000 0.0000 0.0000
Nd1 Nd 0.0000 0.2280 0.2500
P1 P 0.1356 0.4483 0.1112
P2 P 0.1497 0.1604 0.7060
O1 O 0.0708 0.4910 0.4362
O2 O 0.0798 0.0778 0.7349
O3 O 0.1053 0.2860 0.1653
O4 O 0.1185 0.1180 0.5350
O5 O 0.1600 0.3818 0.7356
O6 O 0.2419 0.4091 0.1519
```

Peak list (10 most intense, 2θ from 10° to 90°, low angle first)
2θ (°), I (rel.), (hkl)
13.07, 34.7, 2 0 0
15.09, 40.6, 1 1 -1
20.01, 100.0, 3 1 -1
21.79, 53.3, 0 0 2
27.15, 21.0, 2 2 -1
29.03, 25.0, 3 1 -3
30.45, 39.6, 3 1 1
31.70, 40.0, 6 0 -2
33.25, 19.6, 0 2 2
54.15, 15.3, 2 0 4

***

Entry 2:
Structure and theoretical X-ray diffraction stick pattern of LiNdP4O12 (a structure optimized by DFT (PBE); Cu Kα (λ = 1.5418 Å)).
Kinematic intensities with the Lorentz-polarization factor, no thermal factor.

Cell and atoms:
```
data_LiNdP4O12
_space_group_name_H-M_alt 'C 1 2/c 1'
_space_group_IT_number 15
_cell_length_a 16.6966
_cell_length_b 7.1761
_cell_length_c 9.9161
_cell_angle_alpha 90.00
_cell_angle_beta 126.42
_cell_angle_gamma 90.00
loop_
_space_group_symop_operation_xyz
'x,y,z'
'-x,-y,-z'
'-x,y,-z+1/2'
'x,-y,z+1/2'
'x+1/2,y+1/2,z'
'-x+1/2,-y+1/2,-z'
'-x+1/2,y+1/2,-z+1/2'
'x+1/2,-y+1/2,z+1/2'
loop_
_atom_site_label
_atom_site_type_symbol
_atom_site_fract_x
_atom_site_fract_y
_atom_site_fract_z
Li1 Li 0.0000 0.2033 0.2500
Nd1 Nd 0.0000 0.2981 0.7500
P1 P 0.1384 0.0545 0.6140
P2 P 0.1476 0.3444 0.1981
O1 O 0.0676 0.0059 0.4301
O2 O 0.0748 0.4058 0.2317
O3 O 0.1132 0.2142 0.6800
O4 O 0.1274 0.3865 0.0326
O5 O 0.1586 0.1217 0.2305
O6 O 0.2447 0.0848 0.6478
```

Peak list (10 most intense, 2θ from 10° to 90°, low angle first)
2θ (°), I (rel.), (hkl)
13.18, 40.1, 2 0 0
15.24, 40.9, 1 1 -1
20.20, 100.0, 3 1 -1
22.28, 75.9, 0 0 2
22.78, 25.5, 1 1 -2
27.25, 38.3, 2 2 -1
29.76, 25.8, 3 1 -3
30.75, 38.9, 3 1 1
32.19, 54.0, 6 0 -2
33.59, 19.5, 0 2 2

***

Entry 3:
Structure and theoretical X-ray diffraction stick pattern of LiPrNdO2 (a structure optimized by DFT (PBE); Cu Kα (λ = 1.5418 Å)).
Kinematic intensities with the Lorentz-polarization factor, no thermal factor.

Cell and atoms:
```
data_LiPrNdO2
_space_group_name_H-M_alt 'R 3 m'
_space_group_IT_number 160
_space_group_name_Hall 'R 3 -2"'
_cell_length_a 3.5678
_cell_length_b 3.5678
_cell_length_c 26.5492
_cell_angle_alpha 90.00
_cell_angle_beta 90.00
_cell_angle_gamma 120.00
loop_
_atom_site_label
_atom_site_type_symbol
_atom_site_fract_x
_atom_site_fract_y
_atom_site_fract_z
Li1 Li 0.0000 0.0000 0.0000
Pr1 Pr 0.0000 0.0000 0.5574
Nd1 Nd 0.0000 0.0000 0.1112
O1 O 0.0000 0.0000 0.3999
O2 O 0.0000 0.0000 0.8291
```

Peak list (10 most intense, 2θ from 10° to 90°, low angle first)
2θ (°), I (rel.), (hkl)
20.07, 29.8, 0 0 6
29.69, 100.0, 0 1 2
30.30, 35.9, 0 0 9
31.95, 77.6, 1 0 4
33.56, 43.2, 0 1 5
37.55, 80.6, 1 0 7
47.82, 38.8, 0 1 11
51.21, 37.8, 1 1 0
53.81, 16.0, 1 0 13
60.67, 31.6, 1 1 9

***

Entry 4:
Structure and theoretical X-ray diffraction stick pattern of LiPrNdO2 (a structure optimized by DFT (PBE); Cu Kα (λ = 1.5418 Å)).
Kinematic intensities with the Lorentz-polarization factor, no thermal factor.

Cell and atoms:
```
data_LiPrNdO2
_space_group_name_H-M_alt 'C 1 2/m 1'
_space_group_IT_number 12
_cell_length_a 5.9747
_cell_length_b 4.7433
_cell_length_c 6.0606
_cell_angle_alpha 90.00
_cell_angle_beta 110.56
_cell_angle_gamma 90.00
loop_
_space_group_symop_operation_xyz
'x,y,z'
'-x,-y,-z'
'-x,y,-z'
'x,-y,z'
'x+1/2,y+1/2,z'
'-x+1/2,-y+1/2,-z'
'-x+1/2,y+1/2,-z'
'x+1/2,-y+1/2,z'
loop_
_atom_site_label
_atom_site_type_symbol
_atom_site_fract_x
_atom_site_fract_y
_atom_site_fract_z
Li1 Li 0.0000 0.0000 0.0000
Pr1 Pr 0.0000 0.0000 0.5000
Nd1 Nd 0.0000 0.5000 0.0000
O1 O 0.2389 0.5000 0.7283
```

Peak list (10 most intense, 2θ from 10° to 90°, low angle first)
2θ (°), I (rel.), (hkl)
26.03, 100.0, 1 1 -1
31.53, 33.8, 0 0 2
32.00, 32.3, 2 0 0
32.22, 94.8, 1 1 1
36.33, 36.4, 2 0 -2
37.94, 32.3, 0 2 0
49.01, 28.2, 1 1 -3
49.66, 27.4, 3 1 -1
50.13, 19.2, 0 2 2
53.52, 34.7, 2 2 -2

***

Copy entry 2 word for word.
Structure and theoretical X-ray diffraction stick pattern of LiNdP4O12 (a structure optimized by DFT (PBE); Cu Kα (λ = 1.5418 Å)).
Kinematic intensities with the Lorentz-polarization factor, no thermal factor.

Cell and atoms:
```
data_LiNdP4O12
_space_group_name_H-M_alt 'C 1 2/c 1'
_space_group_IT_number 15
_cell_length_a 16.6966
_cell_length_b 7.1761
_cell_length_c 9.9161
_cell_angle_alpha 90.00
_cell_angle_beta 126.42
_cell_angle_gamma 90.00
loop_
_space_group_symop_operation_xyz
'x,y,z'
'-x,-y,-z'
'-x,y,-z+1/2'
'x,-y,z+1/2'
'x+1/2,y+1/2,z'
'-x+1/2,-y+1/2,-z'
'-x+1/2,y+1/2,-z+1/2'
'x+1/2,-y+1/2,z+1/2'
loop_
_atom_site_label
_atom_site_type_symbol
_atom_site_fract_x
_atom_site_fract_y
_atom_site_fract_z
Li1 Li 0.0000 0.2033 0.2500
Nd1 Nd 0.0000 0.2981 0.7500
P1 P 0.1384 0.0545 0.6140
P2 P 0.1476 0.3444 0.1981
O1 O 0.0676 0.0059 0.4301
O2 O 0.0748 0.4058 0.2317
O3 O 0.1132 0.2142 0.6800
O4 O 0.1274 0.3865 0.0326
O5 O 0.1586 0.1217 0.2305
O6 O 0.2447 0.0848 0.6478
```

Peak list (10 most intense, 2θ from 10° to 90°, low angle first)
2θ (°), I (rel.), (hkl)
13.18, 40.1, 2 0 0
15.24, 40.9, 1 1 -1
20.20, 100.0, 3 1 -1
22.28, 75.9, 0 0 2
22.78, 25.5, 1 1 -2
27.25, 38.3, 2 2 -1
29.76, 25.8, 3 1 -3
30.75, 38.9, 3 1 1
32.19, 54.0, 6 0 -2
33.59, 19.5, 0 2 2